(1)
Diffraction record for Rb2Be2SbO6. The XRD peak list is simulated, not measured: it uses DFT lattice parameters and positions (GGA-PBE) and Cu Kα (λ = 1.5418 Å).

Structure:
```
data_Rb2Be2SbO6
_chemical_formula_sum 'Rb2 Be2 Sb1 O6'
_space_group_name_H-M_alt 'P -3 m 1'
_space_group_IT_number 164
_space_group_name_Hall '-P 3 2"'
_cell_length_a 5.4458
_cell_length_b 5.4458
_cell_length_c 6.7814
_cell_angle_alpha 90.00
_cell_angle_beta 90.00
_cell_angle_gamma 120.00
loop_
_atom_site_label
_atom_site_type_symbol
_atom_site_fract_x
_atom_site_fract_y
_atom_site_fract_z
Rb1 Rb 0.3333 0.6667 0.3464
Be1 Be 0.3333 0.6667 0.8485
Sb1 Sb 0.0000 0.0000 0.0000
O1 O 0.1711 0.3423 0.8258
```

Largest 8 diffraction maxima, in order of falling intensity, 15° ≤ 2θ ≤ 90°:
- 22.97°, 3.872 Å, intensity 100, (0 1 1)
- 32.52°, 2.753 Å, intensity 58, (1 0 2)
- 32.89°, 2.723 Å, intensity 40, (1 1 0)
- 40.50°, 2.227 Å, intensity 34, (2 0 1)
- 52.62°, 1.739 Å, intensity 26, (1 1 3)
- 53.12°, 1.724 Å, intensity 22, (1 2 1)
- 58.50°, 1.578 Å, intensity 19, (2 1 2)
- 46.93°, 1.936 Å, intensity 16, (0 2 2)

(2)
Diffraction record for Rb2Be2Si2O7. The XRD peak list is simulated, not measured: it uses DFT lattice parameters and positions (GGA-PBE) and Cu Kα (λ = 1.5418 Å).

Structure:
```
data_Rb2Be2Si2O7
_chemical_formula_sum 'Rb4 Be4 Si4 O14'
_space_group_name_H-M_alt 'P n n 2'
_space_group_IT_number 34
_space_group_name_Hall 'P 2 -2n'
_cell_length_a 5.1914
_cell_length_b 8.4707
_cell_length_c 9.0054
_cell_angle_alpha 90.00
_cell_angle_beta 90.00
_cell_angle_gamma 90.00
loop_
_atom_site_label
_atom_site_type_symbol
_atom_site_fract_x
_atom_site_fract_y
_atom_site_fract_z
Rb1 Rb 0.0000 0.0000 0.0000
Rb2 Rb 0.0000 0.5000 0.0621
Be1 Be 0.0041 0.2409 0.3720
Si1 Si 0.0035 0.3046 0.7019
O1 O 0.0000 0.5000 0.6889
O2 O 0.0748 0.2370 0.5377
O3 O 0.2180 0.2523 0.2544
O4 O 0.2202 0.2539 0.8238
```

Largest 8 diffraction maxima, in order of falling intensity, 15° ≤ 2θ ≤ 90°:
- 28.95°, 3.084 Å, intensity 100, (1 2 1)
- 19.73°, 4.499 Å, intensity 31, (1 0 1)
- 34.53°, 2.598 Å, intensity 27, (2 0 0)
- 40.75°, 2.214 Å, intensity 19, (2 2 0)
- 58.49°, 1.578 Å, intensity 16, (3 2 1)
- 28.27°, 3.157 Å, intensity 16, (1 1 2)
- 40.09°, 2.249 Å, intensity 15, (2 0 2)
- 47.48°, 1.915 Å, intensity 12, (1 4 1)

(3)
Diffraction record for RbSmBeO3. The XRD peak list is simulated, not measured: it uses DFT lattice parameters and positions (GGA-PBE) and Cu Kα (λ = 1.5418 Å).

Structure:
```
data_RbSmBeO3
_chemical_formula_sum 'Rb2 Sm2 Be2 O6'
_space_group_name_H-M_alt 'P 1 21/m 1'
_space_group_IT_number 11
_space_group_name_Hall '-P 2yb'
_cell_length_a 7.7048
_cell_length_b 3.4978
_cell_length_c 8.0143
_cell_angle_alpha 90.00
_cell_angle_beta 107.81
_cell_angle_gamma 90.00
loop_
_atom_site_label
_atom_site_type_symbol
_atom_site_fract_x
_atom_site_fract_y
_atom_site_fract_z
Rb1 Rb 0.2217 0.2500 0.1907
Sm1 Sm 0.1697 0.2500 0.6587
Be1 Be 0.3955 0.7500 0.9395
O1 O 0.1453 0.7500 0.4602
O2 O 0.1851 0.7500 0.8626
O3 O 0.4696 0.2500 0.8695
```

Largest 8 diffraction maxima, in order of falling intensity, 15° ≤ 2θ ≤ 90°:
- 28.27°, 3.157 Å, intensity 100, (1 1 0)
- 34.40°, 2.607 Å, intensity 91, (1 1 -2)
- 28.12°, 3.174 Å, intensity 75, (2 0 -2)
- 34.80°, 2.578 Å, intensity 72, (0 1 2)
- 24.27°, 3.668 Å, intensity 54, (2 0 0)
- 29.51°, 3.027 Å, intensity 44, (1 0 2)
- 36.76°, 2.445 Å, intensity 40, (3 0 0)
- 47.09°, 1.930 Å, intensity 39, (2 1 2)

(4)
Diffraction record for Rb2BeSnO4. The XRD peak list is simulated, not measured: it uses DFT lattice parameters and positions (GGA-PBE) and Cu Kα (λ = 1.5418 Å).

Structure:
```
data_Rb2BeSnO4
_chemical_formula_sum 'Rb4 Be2 Sn2 O8'
_space_group_name_H-M_alt 'I -4'
_space_group_IT_number 82
_space_group_name_Hall 'I -4'
_cell_length_a 5.7622
_cell_length_b 5.7622
_cell_length_c 7.8779
_cell_angle_alpha 90.00
_cell_angle_beta 90.00
_cell_angle_gamma 90.00
loop_
_atom_site_label
_atom_site_type_symbol
_atom_site_fract_x
_atom_site_fract_y
_atom_site_fract_z
Rb1 Rb 0.0000 0.0000 0.0000
Rb2 Rb 0.0000 0.5000 0.2500
Be1 Be 0.0000 0.0000 0.5000
Sn1 Sn 0.0000 0.5000 0.7500
O1 O 0.0989 0.2275 0.6140
```

Largest 8 diffraction maxima, in order of falling intensity, 15° ≤ 2θ ≤ 90°:
- 31.59°, 2.832 Å, intensity 100, (1 1 2)
- 31.04°, 2.881 Å, intensity 44, (2 0 0)
- 55.57°, 1.654 Å, intensity 39, (1 3 2)
- 56.61°, 1.626 Å, intensity 21, (2 0 4)
- 19.08°, 4.651 Å, intensity 20, (1 0 1)
- 44.47°, 2.037 Å, intensity 16, (2 2 0)
- 36.69°, 2.449 Å, intensity 16, (2 1 1)
- 21.81°, 4.074 Å, intensity 15, (1 1 0)

(5)
Diffraction record for RbBeTlO3. The XRD peak list is simulated, not measured: it uses DFT lattice parameters and positions (GGA-PBE) and Cu Kα (λ = 1.5418 Å).

Structure:
```
data_RbBeTlO3
_chemical_formula_sum 'Rb2 Be2 Tl2 O6'
_space_group_name_H-M_alt 'P 1 21/m 1'
_space_group_IT_number 11
_space_group_name_Hall '-P 2yb'
_cell_length_a 7.8456
_cell_length_b 3.2891
_cell_length_c 7.9421
_cell_angle_alpha 90.00
_cell_angle_beta 107.26
_cell_angle_gamma 90.00
loop_
_atom_site_label
_atom_site_type_symbol
_atom_site_fract_x
_atom_site_fract_y
_atom_site_fract_z
Rb1 Rb 0.2319 0.2500 0.1990
Be1 Be 0.4058 0.7500 0.9257
Tl1 Tl 0.1582 0.2500 0.6591
O1 O 0.1582 0.7500 0.4643
O2 O 0.1897 0.7500 0.8636
O3 O 0.4741 0.2500 0.8696
```

Largest 8 diffraction maxima, in order of falling intensity, 15° ≤ 2θ ≤ 90°:
- 29.66°, 3.012 Å, intensity 100, (1 1 0)
- 35.79°, 2.509 Å, intensity 96, (1 1 -2)
- 28.08°, 3.178 Å, intensity 83, (2 0 -2)
- 36.15°, 2.485 Å, intensity 72, (0 1 2)
- 29.38°, 3.040 Å, intensity 52, (1 0 2)
- 46.29°, 1.961 Å, intensity 51, (3 1 -2)
- 23.75°, 3.746 Å, intensity 49, (2 0 0)
- 35.96°, 2.498 Å, intensity 48, (3 0 0)

(6)
Diffraction record for RbU2BeO8. The XRD peak list is simulated, not measured: it uses DFT lattice parameters and positions (GGA-PBE) and Cu Kα (λ = 1.5418 Å).

Structure:
```
data_RbU2BeO8
_chemical_formula_sum 'Rb2 U4 Be2 O16'
_space_group_name_H-M_alt 'C 1 2/m 1'
_space_group_IT_number 12
_space_group_name_Hall '-C 2y'
_cell_length_a 8.3887
_cell_length_b 6.4468
_cell_length_c 7.0665
_cell_angle_alpha 90.00
_cell_angle_beta 94.34
_cell_angle_gamma 90.00
loop_
_atom_site_label
_atom_site_type_symbol
_atom_site_fract_x
_atom_site_fract_y
_atom_site_fract_z
Rb1 Rb 0.0000 0.0000 0.0000
U1 U 0.0007 0.5000 0.2627
Be1 Be 0.0000 0.0000 0.5000
O1 O 0.0121 0.1925 0.6759
O2 O 0.1467 0.5000 0.9738
O3 O 0.1534 0.5000 0.4874
```

Largest 8 diffraction maxima, in order of falling intensity, 15° ≤ 2θ ≤ 90°:
- 17.37°, 5.106 Å, intensity 100, (1 1 0)
- 21.24°, 4.182 Å, intensity 81, (2 0 0)
- 30.14°, 2.965 Å, intensity 49, (1 1 -2)
- 35.13°, 2.555 Å, intensity 39, (2 2 0)
- 31.51°, 2.839 Å, intensity 39, (1 1 2)
- 27.67°, 3.223 Å, intensity 38, (0 2 0)
- 42.18°, 2.143 Å, intensity 28, (3 1 -2)
- 45.22°, 2.005 Å, intensity 23, (3 1 2)

(7)
Diffraction record for Rb2UBe2O6. The XRD peak list is simulated, not measured: it uses DFT lattice parameters and positions (GGA-PBE) and Cu Kα (λ = 1.5418 Å).

Structure:
```
data_Rb2UBe2O6
_chemical_formula_sum 'Rb6 U3 Be6 O18'
_space_group_name_H-M_alt 'R -3 m'
_space_group_IT_number 166
_space_group_name_Hall '-R 3 2"'
_cell_length_a 5.6273
_cell_length_b 5.6273
_cell_length_c 18.7490
_cell_angle_alpha 90.00
_cell_angle_beta 90.00
_cell_angle_gamma 120.00
loop_
_atom_site_label
_atom_site_type_symbol
_atom_site_fract_x
_atom_site_fract_y
_atom_site_fract_z
Rb1 Rb 0.0000 0.0000 0.2108
U1 U 0.0000 0.0000 0.0000
Be1 Be 0.0000 0.0000 0.3985
O1 O 0.0145 0.5072 0.2672
```

Largest 8 diffraction maxima, in order of falling intensity, 15° ≤ 2θ ≤ 90°:
- 18.81°, 4.717 Å, intensity 100, (1 0 1)
- 30.07°, 2.972 Å, intensity 92, (0 1 5)
- 31.80°, 2.814 Å, intensity 63, (1 1 0)
- 26.38°, 3.378 Å, intensity 53, (1 0 4)
- 41.78°, 2.162 Å, intensity 33, (0 2 4)
- 55.59°, 1.653 Å, intensity 30, (1 2 5)
- 54.83°, 1.674 Å, intensity 27, (1 1 9)
- 44.33°, 2.043 Å, intensity 22, (2 0 5)

(8)
Diffraction record for BeReO4. The XRD peak list is simulated, not measured: it uses DFT lattice parameters and positions (GGA-PBE) and Cu Kα (λ = 1.5418 Å).

Structure:
```
data_BeReO4
_chemical_formula_sum 'Be2 Re2 O8'
_space_group_name_H-M_alt 'I -4'
_space_group_IT_number 82
_space_group_name_Hall 'I -4'
_cell_length_a 5.1195
_cell_length_b 5.1195
_cell_length_c 8.0275
_cell_angle_alpha 90.00
_cell_angle_beta 90.00
_cell_angle_gamma 90.00
loop_
_atom_site_label
_atom_site_type_symbol
_atom_site_fract_x
_atom_site_fract_y
_atom_site_fract_z
Be1 Be 0.0000 0.0000 0.0000
Re1 Re 0.0000 0.5000 0.2500
O1 O 0.1047 0.2399 0.1153
```

Largest 8 diffraction maxima, in order of falling intensity, 15° ≤ 2θ ≤ 90°:
- 20.58°, 4.316 Å, intensity 100, (1 0 1)
- 33.33°, 2.688 Å, intensity 27, (1 1 2)
- 40.99°, 2.202 Å, intensity 24, (2 1 1)
- 24.59°, 3.620 Å, intensity 23, (1 1 0)
- 52.61°, 1.740 Å, intensity 17, (1 2 3)
- 22.15°, 4.014 Å, intensity 14, (0 0 2)
- 37.94°, 2.371 Å, intensity 14, (1 0 3)
- 41.86°, 2.158 Å, intensity 13, (2 0 2)

(9)
Diffraction record for SrBe2ReO8. The XRD peak list is simulated, not measured: it uses DFT lattice parameters and positions (GGA-PBE) and Cu Kα (λ = 1.5418 Å).

Structure:
```
data_SrBe2ReO8
_chemical_formula_sum 'Sr1 Be2 Re1 O8'
_space_group_name_H-M_alt 'P -3'
_space_group_IT_number 147
_space_group_name_Hall '-P 3'
_cell_length_a 5.2073
_cell_length_b 5.2073
_cell_length_c 6.8142
_cell_angle_alpha 90.00
_cell_angle_beta 90.00
_cell_angle_gamma 120.00
loop_
_atom_site_label
_atom_site_type_symbol
_atom_site_fract_x
_atom_site_fract_y
_atom_site_fract_z
Sr1 Sr 0.0000 0.0000 0.0000
Be1 Be 0.3333 0.6667 0.7394
Re1 Re 0.0000 0.0000 0.5000
O1 O 0.1648 0.3322 0.6648
O2 O 0.3333 0.6667 0.9784
```

Largest 8 diffraction maxima, in order of falling intensity, 15° ≤ 2θ ≤ 90°:
- 19.69°, 4.510 Å, intensity 100, (1 0 0)
- 32.95°, 2.718 Å, intensity 51, (0 1 2)
- 43.76°, 2.069 Å, intensity 34, (2 -1 2)
- 23.66°, 3.761 Å, intensity 31, (0 1 1)
- 34.45°, 2.604 Å, intensity 29, (1 1 0)
- 48.41°, 1.880 Å, intensity 23, (0 2 2)
- 60.76°, 1.524 Å, intensity 19, (3 -2 2)
- 53.79°, 1.704 Å, intensity 16, (1 2 0)

(10)
Diffraction record for BeRh6O12. The XRD peak list is simulated, not measured: it uses DFT lattice parameters and positions (GGA-PBE) and Cu Kα (λ = 1.5418 Å).

Structure:
```
data_BeRh6O12
_chemical_formula_sum 'Be3 Rh18 O36'
_space_group_name_H-M_alt 'R -3'
_space_group_IT_number 148
_space_group_name_Hall '-R 3'
_cell_length_a 8.8732
_cell_length_b 8.8732
_cell_length_c 8.5472
_cell_angle_alpha 90.00
_cell_angle_beta 90.00
_cell_angle_gamma 120.00
loop_
_atom_site_label
_atom_site_type_symbol
_atom_site_fract_x
_atom_site_fract_y
_atom_site_fract_z
Be1 Be 0.0000 0.0000 0.0000
Rh1 Rh 0.0493 0.2453 0.6698
O1 O 0.0390 0.2269 0.4053
O2 O 0.0527 0.2017 0.8940
```

Largest 8 diffraction maxima, in order of falling intensity, 15° ≤ 2θ ≤ 90°:
- 32.56°, 2.750 Å, intensity 100, (2 1 1)
- 37.45°, 2.401 Å, intensity 40, (3 -2 2)
- 53.22°, 1.721 Å, intensity 35, (2 1 4)
- 31.40°, 2.849 Å, intensity 34, (0 0 3)
- 54.74°, 1.677 Å, intensity 32, (1 4 0)
- 64.48°, 1.445 Å, intensity 26, (5 -1 3)
- 63.11°, 1.473 Å, intensity 15, (3 -2 5)
- 20.01°, 4.437 Å, intensity 13, (1 1 0)

(11)
Diffraction record for SrBeRhO5. The XRD peak list is simulated, not measured: it uses DFT lattice parameters and positions (GGA-PBE) and Cu Kα (λ = 1.5418 Å).

Structure:
```
data_SrBeRhO5
_chemical_formula_sum 'Sr4 Be4 Rh4 O20'
_space_group_name_H-M_alt 'C 1 2/c 1'
_space_group_IT_number 15
_space_group_name_Hall '-C 2yc'
_cell_length_a 6.5506
_cell_length_b 8.9201
_cell_length_c 7.1515
_cell_angle_alpha 90.00
_cell_angle_beta 113.61
_cell_angle_gamma 90.00
loop_
_atom_site_label
_atom_site_type_symbol
_atom_site_fract_x
_atom_site_fract_y
_atom_site_fract_z
Sr1 Sr 0.0000 0.1557 0.2500
Be1 Be 0.0000 0.1951 0.7500
Rh1 Rh 0.0000 0.5000 0.0000
O1 O 0.0000 0.4273 0.2500
O2 O 0.0969 0.2975 0.6148
O3 O 0.1892 0.0763 0.9138
```

Largest 8 diffraction maxima, in order of falling intensity, 15° ≤ 2θ ≤ 90°:
- 27.16°, 3.284 Å, intensity 100, (1 1 -2)
- 33.64°, 2.664 Å, intensity 63, (1 3 0)
- 29.77°, 3.001 Å, intensity 58, (2 0 0)
- 17.81°, 4.980 Å, intensity 45, (1 1 0)
- 33.96°, 2.640 Å, intensity 42, (0 2 2)
- 42.87°, 2.109 Å, intensity 35, (3 1 -1)
- 18.45°, 4.809 Å, intensity 25, (1 1 -1)
- 43.73°, 2.070 Å, intensity 22, (3 1 -2)

(12)
Diffraction record for SrBeRhO4. The XRD peak list is simulated, not measured: it uses DFT lattice parameters and positions (GGA-PBE) and Cu Kα (λ = 1.5418 Å).

Structure:
```
data_SrBeRhO4
_chemical_formula_sum 'Sr4 Be4 Rh4 O16'
_space_group_name_H-M_alt 'C m c m'
_space_group_IT_number 63
_space_group_name_Hall '-C 2c 2'
_cell_length_a 6.1835
_cell_length_b 9.1147
_cell_length_c 6.5983
_cell_angle_alpha 90.00
_cell_angle_beta 90.00
_cell_angle_gamma 90.00
loop_
_atom_site_label
_atom_site_type_symbol
_atom_site_fract_x
_atom_site_fract_y
_atom_site_fract_z
Sr1 Sr 0.0000 0.0000 0.0000
Be1 Be 0.0000 0.3745 0.2500
Rh1 Rh 0.0000 0.3389 0.7500
O1 O 0.0000 0.2802 0.0350
O2 O 0.2011 0.4942 0.2500
```

Largest 8 diffraction maxima, in order of falling intensity, 15° ≤ 2θ ≤ 90°:
- 32.29°, 2.773 Å, intensity 100, (1 1 2)
- 32.84°, 2.727 Å, intensity 86, (1 3 0)
- 21.98°, 4.044 Å, intensity 67, (1 1 1)
- 28.88°, 3.092 Å, intensity 61, (2 0 0)
- 44.84°, 2.021 Å, intensity 48, (2 2 2)
- 23.73°, 3.750 Å, intensity 32, (0 2 1)
- 57.48°, 1.603 Å, intensity 32, (2 4 2)
- 53.74°, 1.706 Å, intensity 27, (3 3 0)